[1]
Calculated XRD peak list of SnO2 for λ = 1.5418 Å (Cu Kα), from a crystal structure in the Materials Project, relaxed with GGA-PBE.
Intensities are scaled so that the largest is 100.

Main lines, low angle first (10 to 80 degrees two-theta):
two_theta  I/Imax  h k l
18.29  71.0  1 0 2
19.01  74.7  2 0 0
31.52  35.9  0 0 4
32.82  55.6  3 0 2
33.37  100.0  1 1 2
33.79  34.7  2 1 0
37.07  15.2  2 0 4
46.88  33.7  2 1 4
48.13  29.8  4 1 0
57.31  21.5  1 1 6
58.68  27.4  4 1 4
67.48  15.9  3 2 2

Structural model:
```
24
Lattice="9.335 0.000 0.000 0.000 3.225 0.000 0.000 0.000 11.354" Properties=species:S:1:pos:R:3 pbc="T T T"
Sn 0.489 0.806 1.328
Sn 0.816 0.806 6.843
Sn 3.852 2.418 1.166
Sn 4.178 2.418 7.005
Sn 5.157 0.806 4.349
Sn 5.483 0.806 10.188
Sn 8.519 2.418 4.511
Sn 8.845 2.418 10.025
O 0.313 2.418 8.105
O 0.738 0.806 10.545
O 1.080 2.418 5.528
O 1.824 2.418 1.678
O 2.843 0.806 7.355
O 3.587 0.806 11.205
O 3.930 2.418 4.868
O 4.354 0.806 2.428
O 4.981 2.418 8.925
O 5.405 0.806 6.486
O 5.747 2.418 0.148
O 6.492 2.418 3.999
O 7.510 0.806 9.675
O 8.255 0.806 5.825
O 8.597 2.418 0.809
O 9.021 0.806 3.248
```


[2]
Calculated XRD peak list of CaC2O4 for λ = 1.5418 Å (Cu Kα), from a crystal structure in the Materials Project, relaxed with GGA-PBE.
Intensities are scaled so that the largest is 100.

Main lines, low angle first (10 to 80 degrees two-theta):
two_theta  I/Imax  h k l
14.98  100.0  1 0 0
15.29  33.8  0 1 1
23.39  37.7  1 1 1
24.22  45.6  0 2 0
30.22  27.7  2 0 0
30.49  13.0  1 1 -3
30.98  12.8  0 1 3
34.39  11.4  2 0 1
37.02  21.0  2 1 -3
37.95  28.9  0 3 1
39.88  10.7  1 3 -1
47.74  12.6  3 1 0

Structural model:
```
28
Lattice="6.199 0.000 0.000 0.000 7.351 0.000 -2.953 0.000 9.416" Properties=species:S:1:pos:R:3 pbc="T T T"
Ca -0.797 0.000 2.914
Ca 0.037 3.675 1.876
Ca 3.209 3.675 7.540
Ca 4.044 0.000 6.503
C 0.000 0.782 0.000
C -1.476 2.890 4.708
C -1.476 4.460 4.708
C 0.000 6.569 0.000
C 2.480 3.675 0.463
C 1.758 0.000 4.042
C 1.488 0.000 5.374
C 0.767 3.675 8.953
O -0.089 1.345 1.130
O -0.089 6.006 1.130
O -0.878 2.316 3.749
O -0.878 5.035 3.749
O -1.599 3.675 9.288
O 0.226 0.000 5.779
O 0.026 0.000 7.210
O 0.653 3.675 7.698
O 2.594 3.675 1.718
O 3.221 0.000 2.206
O 3.021 0.000 3.637
O 4.845 3.675 0.128
O 4.124 2.316 5.667
O 4.124 5.035 5.667
O 3.335 1.345 8.286
O 3.335 6.006 8.286
```